Entry 1:
Computed powder X-ray diffraction pattern of K5BaH7 for Cu Kα (λ = 1.5418 Å), from a crystal structure in Alexandria, relaxed with PBE.
Peak positions follow from Bragg's law for the DFT cell and can differ from measured ones.

The 8 most intense peaks (5° ≤ 2θ ≤ 70°), in order of rising 2θ:
(hkl), d_spacing, Rel. int.
0 0 2, 11.065, 48
1 1 1, 3.706, 35
1 1 3, 3.349, 100
0 4 1, 3.246, 50
0 2 6, 3.215, 94
1 1 4, 3.109, 43
1 3 2, 2.824, 64
1 3 3, 2.716, 40

Cell and atoms:
```
data_K5BaH7
_space_group_name_H-M_alt 'C m c 21'
_space_group_IT_number 36
_space_group_name_Hall 'C 2c -2'
_cell_length_a 3.923
_cell_length_b 13.126
_cell_length_c 22.131
_cell_angle_alpha 90.00
_cell_angle_beta 90.00
_cell_angle_gamma 90.00
loop_
_atom_site_label
_atom_site_type_symbol
_atom_site_fract_x
_atom_site_fract_y
_atom_site_fract_z
K1 K 0.000 0.000 0.000
K2 K 0.000 0.275 0.077
K3 K 0.000 0.275 0.423
K4 K 0.000 0.456 0.654
K5 K 0.000 0.457 0.846
Ba1 Ba 0.000 0.198 0.750
H1 H 0.000 0.098 0.623
H2 H 0.000 0.098 0.877
H3 H 0.000 0.196 0.314
H4 H 0.000 0.197 0.185
H5 H 0.000 0.367 0.538
H6 H 0.000 0.368 0.962
H7 H 0.000 0.433 0.250
```

=====

Entry 2:
Computed powder X-ray diffraction pattern of Tm4SiBr5 for Cu Kα (λ = 1.5418 Å), from a crystal structure in Alexandria, relaxed with PBE.
Peak positions follow from Bragg's law for the DFT cell and can differ from measured ones.

The 8 most intense peaks (5° ≤ 2θ ≤ 70°), in order of rising 2θ:
(hkl), d_spacing, Rel. int.
2 0 0, 9.464, 44
0 0 1, 8.241, 56
6 0 0, 3.155, 41
3 1 1, 3.111, 33
1 1 -2, 2.826, 100
8 0 0, 2.368, 18
7 1 -2, 1.967, 27
7 1 2, 1.962, 27

Cell and atoms:
```
data_Tm4SiBr5
_space_group_name_H-M_alt 'C 1 2/m 1'
_space_group_IT_number 12
_space_group_name_Hall '-C 2y'
_cell_length_a 18.929
_cell_length_b 3.968
_cell_length_c 8.241
_cell_angle_alpha 90.00
_cell_angle_beta 90.23
_cell_angle_gamma 90.00
loop_
_atom_site_label
_atom_site_type_symbol
_atom_site_fract_x
_atom_site_fract_y
_atom_site_fract_z
Tm1 Tm 0.000 0.000 0.222
Tm2 Tm 0.138 0.500 0.002
Si1 Si 0.000 0.500 0.000
Br1 Br 0.000 0.500 0.500
Br2 Br 0.156 0.000 0.248
Br3 Br 0.156 0.000 0.755
```

=====

Entry 3:
Computed powder X-ray diffraction pattern of Mg3H2Ir2 for Cu Kα (λ = 1.5418 Å), from a crystal structure in Alexandria, relaxed with PBE.
Peak positions follow from Bragg's law for the DFT cell and can differ from measured ones.

The 8 most intense peaks (5° ≤ 2θ ≤ 70°), in order of rising 2θ:
(hkl), d_spacing, Rel. int.
0 0 1, 3.918, 81
2 0 -1, 3.828, 100
2 0 0, 3.790, 87
0 2 0, 2.800, 29
0 2 1, 2.278, 71
2 2 -1, 2.260, 56
2 2 0, 2.252, 91
2 0 1, 2.229, 36

Cell and atoms:
```
data_Mg3H2Ir2
_space_group_name_H-M_alt 'C 1 m 1'
_space_group_IT_number 8
_space_group_name_Hall 'C -2y'
_cell_length_a 8.717
_cell_length_b 5.601
_cell_length_c 4.507
_cell_angle_alpha 90.00
_cell_angle_beta 119.60
_cell_angle_gamma 90.00
loop_
_atom_site_label
_atom_site_type_symbol
_atom_site_fract_x
_atom_site_fract_y
_atom_site_fract_z
Mg1 Mg 0.000 0.000 0.000
Mg2 Mg 0.116 0.500 0.852
Mg3 Mg 0.232 0.000 0.718
H1 H 0.267 0.500 0.439
H2 H 0.460 0.000 0.273
Ir1 Ir 0.364 0.250 0.357
```

=====

Entry 4:
Computed powder X-ray diffraction pattern of Na6I4O for Cu Kα (λ = 1.5418 Å), from a crystal structure in Alexandria, relaxed with PBE.
Peak positions follow from Bragg's law for the DFT cell and can differ from measured ones.

The 8 most intense peaks (5° ≤ 2θ ≤ 70°), in order of rising 2θ:
(hkl), d_spacing, Rel. int.
0 0 2, 4.658, 46
2 0 0, 4.455, 31
2 1 0, 3.985, 65
2 0 2, 3.220, 27
2 1 2, 3.028, 100
4 1 0, 2.161, 30
4 1 2, 1.960, 29
4 1 4, 1.584, 22

Cell and atoms:
```
data_Na6I4O
_space_group_name_H-M_alt 'P 4/m n c'
_space_group_IT_number 128
_space_group_name_Hall '-P 4 2n'
_cell_length_a 8.910
_cell_length_b 8.910
_cell_length_c 9.316
_cell_angle_alpha 90.00
_cell_angle_beta 90.00
_cell_angle_gamma 90.00
loop_
_atom_site_label
_atom_site_type_symbol
_atom_site_fract_x
_atom_site_fract_y
_atom_site_fract_z
Na1 Na 0.000 0.000 0.242
Na2 Na 0.072 0.248 0.000
I1 I 0.179 0.679 0.250
O1 O 0.000 0.000 0.000
```

=====

Entry 5:
Computed powder X-ray diffraction pattern of SrBe4I3O12 for Cu Kα (λ = 1.5418 Å), from a crystal structure in Alexandria, relaxed with PBE.
Peak positions follow from Bragg's law for the DFT cell and can differ from measured ones.

The 8 most intense peaks (5° ≤ 2θ ≤ 70°), in order of rising 2θ:
(hkl), d_spacing, Rel. int.
1 1 0, 5.213, 32
0 2 1, 3.978, 100
2 1 1, 3.163, 21
2 0 2, 3.078, 86
2 2 0, 2.607, 23
3 1 2, 2.152, 36
0 2 4, 1.908, 43
1 3 4, 1.611, 24

Cell and atoms:
```
data_SrBe4I3O12
_space_group_name_H-M_alt 'R 3 2'
_space_group_IT_number 155
_space_group_name_Hall 'R 3 2"'
_cell_length_a 10.4262
_cell_length_b 10.4262
_cell_length_c 8.4133
_cell_angle_alpha 90.00
_cell_angle_beta 90.00
_cell_angle_gamma 120.00
loop_
_atom_site_label
_atom_site_type_symbol
_atom_site_fract_x
_atom_site_fract_y
_atom_site_fract_z
Sr1 Sr 0.0000 0.0000 0.0000
Be1 Be 0.0000 0.0000 0.5000
Be2 Be 0.0000 0.4402 0.5000
I1 I 0.0000 0.5480 0.0000
O1 O 0.0000 0.5885 0.5000
O2 O 0.0000 0.8518 0.5000
O3 O 0.0396 0.2236 0.1876
```

=====

Entry 6:
Computed powder X-ray diffraction pattern of Pm12Pt6Pb for Cu Kα (λ = 1.5418 Å), from a crystal structure in Alexandria, relaxed with PBE.
Peak positions follow from Bragg's law for the DFT cell and can differ from measured ones.

The 8 most intense peaks (5° ≤ 2θ ≤ 70°), in order of rising 2θ:
(hkl), d_spacing, Rel. int.
2 0 0, 5.151, 17
2 2 2, 2.974, 12
3 2 1, 2.754, 100
3 3 0, 2.428, 14
4 1 3, 2.021, 32
6 0 0, 1.717, 16
5 3 2, 1.671, 20
5 3 4, 1.457, 14

Cell and atoms:
```
data_Pm12Pt6Pb
_space_group_name_H-M_alt 'I m -3'
_space_group_IT_number 204
_space_group_name_Hall '-I 2 2 3'
_cell_length_a 10.303
_cell_length_b 10.303
_cell_length_c 10.303
_cell_angle_alpha 90.00
_cell_angle_beta 90.00
_cell_angle_gamma 90.00
loop_
_atom_site_label
_atom_site_type_symbol
_atom_site_fract_x
_atom_site_fract_y
_atom_site_fract_z
Pm1 Pm 0.000 0.181 0.304
Pt1 Pt 0.000 0.364 0.500
Pb1 Pb 0.000 0.000 0.000
```

=====

Entry 7:
Computed powder X-ray diffraction pattern of Th2Mg2Sn3 for Cu Kα (λ = 1.5418 Å), from a crystal structure in Alexandria, relaxed with PBE.
Peak positions follow from Bragg's law for the DFT cell and can differ from measured ones.

The 8 most intense peaks (5° ≤ 2θ ≤ 70°), in order of rising 2θ:
(hkl), d_spacing, Rel. int.
2 0 -1, 8.192, 41
2 0 2, 3.236, 31
3 1 -3, 3.115, 80
1 1 2, 3.074, 80
3 1 1, 2.753, 100
5 1 -2, 2.685, 70
3 1 -4, 2.645, 99
0 2 0, 2.358, 67

Cell and atoms:
```
data_Th2Mg2Sn3
_space_group_name_H-M_alt 'C 1 2/m 1'
_space_group_IT_number 12
_space_group_name_Hall '-C 2y'
_cell_length_a 16.415
_cell_length_b 4.717
_cell_length_c 12.778
_cell_angle_alpha 90.00
_cell_angle_beta 126.34
_cell_angle_gamma 90.00
loop_
_atom_site_label
_atom_site_type_symbol
_atom_site_fract_x
_atom_site_fract_y
_atom_site_fract_z
Th1 Th 0.084 0.000 0.433
Th2 Th 0.232 0.000 0.828
Mg1 Mg 0.052 0.500 0.820
Mg2 Mg 0.098 0.000 0.172
Sn1 Sn 0.099 0.500 0.628
Sn2 Sn 0.127 0.000 0.972
Sn3 Sn 0.172 0.500 0.340
```

=====

Entry 8:
Computed powder X-ray diffraction pattern of Na4Ga3Si3ClO12 for Cu Kα (λ = 1.5418 Å), from a crystal structure in Alexandria, relaxed with PBE.
Peak positions follow from Bragg's law for the DFT cell and can differ from measured ones.

The 8 most intense peaks (5° ≤ 2θ ≤ 70°), in order of rising 2θ:
(hkl), d_spacing, Rel. int.
1 1 0, 6.395, 53
2 1 0, 4.045, 20
2 1 1, 3.692, 100
3 1 0, 2.860, 17
2 2 2, 2.611, 36
3 2 1, 2.417, 36
4 4 0, 1.599, 23
5 3 2, 1.467, 15

Cell and atoms:
```
data_Na4Ga3Si3ClO12
_space_group_name_H-M_alt 'P -4 3 n'
_space_group_IT_number 218
_space_group_name_Hall 'P -4n 2 3'
_cell_length_a 9.045
_cell_length_b 9.045
_cell_length_c 9.045
_cell_angle_alpha 90.00
_cell_angle_beta 90.00
_cell_angle_gamma 90.00
loop_
_atom_site_label
_atom_site_type_symbol
_atom_site_fract_x
_atom_site_fract_y
_atom_site_fract_z
Na1 Na 0.173 0.173 0.173
Ga1 Ga 0.000 0.250 0.500
Si1 Si 0.000 0.500 0.250
Cl1 Cl 0.000 0.000 0.000
O1 O 0.073 0.366 0.651
```